(1)
BaSrDy4O8: theoretical XRD peak list (CuKα), based on DFT lattice parameters and positions (GGA-PBE).
Intensities are scaled so that the largest is 100.

Crystal structure
```
BaSrDy4O8
1.0
3.4664 0.0000 0.0000
0.0000 12.0972 0.0000
0.0000 0.0000 10.3218
Ba Sr Dy O
2 2 8 16
direct
0.0000 0.1012 0.0000
0.0000 0.8988 0.5000
0.5000 0.3969 0.5058
0.5000 0.6031 0.0058
0.0000 0.1432 0.3306
0.0000 0.3634 0.8263
0.0000 0.6366 0.3263
0.0000 0.8568 0.8306
0.5000 0.1423 0.6746
0.5000 0.3647 0.1762
0.5000 0.6353 0.6762
0.5000 0.8577 0.1746
0.0000 0.0339 0.7364
0.0000 0.2718 0.6271
0.0000 0.3308 0.3285
0.0000 0.4193 0.0394
0.0000 0.5807 0.5394
0.0000 0.6692 0.8285
0.0000 0.7282 0.1271
0.0000 0.9661 0.2364
0.5000 0.0886 0.4636
0.5000 0.1785 0.1845
0.5000 0.2358 0.8686
0.5000 0.4653 0.7604
0.5000 0.5347 0.2604
0.5000 0.7642 0.3686
0.5000 0.8215 0.6845
0.5000 0.9114 0.9636
```

The 10 most intense peaks (2θ = 15–90°), sorted by position:
2θ = 29.54°, 3.024 Å, I 48; 2θ = 29.88°, 2.991 Å, I 100; 2θ = 30.97°, 2.887 Å, I 79; 2θ = 31.08°, 2.878 Å, I 38; 2θ = 43.39°, 2.085 Å, I 38; 2θ = 43.73°, 2.070 Å, I 23; 2θ = 53.28°, 1.719 Å, I 28; 2θ = 53.66°, 1.708 Å, I 21; 2θ = 53.87°, 1.702 Å, I 16; 2θ = 61.87°, 1.500 Å, I 26

=====

(2)
TiMnNi4Sn2: theoretical XRD peak list (CuKα), based on DFT lattice parameters and positions (GGA-PBE).
Intensities are scaled so that the largest is 100.

Crystal structure
```
TiMnNi4Sn2
1.0
2.1545 1.2439 6.9966
-2.1545 1.2439 6.9966
0.0000 -2.4878 6.9966
Ti Mn Ni Sn
1 1 4 2
direct
0.0000 0.0000 0.0000
0.5000 0.5000 0.5000
0.1230 0.1230 0.1230
0.3730 0.3730 0.3730
0.6270 0.6270 0.6270
0.8770 0.8770 0.8770
0.2483 0.2483 0.2483
0.7517 0.7517 0.7517
```

The 10 most intense peaks (2θ = 15–90°), sorted by position:
2θ = 25.33°, 3.516 Å, I 19; 2θ = 25.46°, 3.498 Å, I 6; 2θ = 29.37°, 3.041 Å, I 5; 2θ = 41.93°, 2.154 Å, I 100; 2θ = 42.10°, 2.146 Å, I 98; 2θ = 49.67°, 1.835 Å, I 11; 2θ = 60.93°, 1.521 Å, I 32; 2θ = 76.60°, 1.244 Å, I 16; 2θ = 76.71°, 1.242 Å, I 32; 2θ = 77.06°, 1.238 Å, I 15

=====

(3)
EuAgSn: theoretical XRD peak list (CuKα), based on DFT lattice parameters and positions (GGA-PBE).
Intensities are scaled so that the largest is 100.

Crystal structure
```
EuAgSn
1.0
5.7337 -2.4552 0.0000
5.7337 2.4552 0.0000
-5.2648 0.0000 5.7724
Eu Ag Sn
2 2 2
direct
0.0355 0.0355 0.2887
0.9645 0.9645 0.7113
0.3353 0.3353 0.2889
0.6647 0.6647 0.7111
0.3331 0.3331 0.8813
0.6669 0.6669 0.1187
```

The 10 most intense peaks (2θ = 15–90°), sorted by position:
2θ = 30.04°, 2.975 Å, I 18; 2θ = 30.20°, 2.959 Å, I 20; 2θ = 31.01°, 2.884 Å, I 100; 2θ = 31.18°, 2.868 Å, I 65; 2θ = 31.30°, 2.857 Å, I 32; 2θ = 36.60°, 2.455 Å, I 54; 2θ = 36.71°, 2.448 Å, I 90; 2θ = 48.69°, 1.870 Å, I 22; 2θ = 48.91°, 1.862 Å, I 19; 2θ = 62.44°, 1.487 Å, I 19

=====

(4)
Rb7Fe4Te8: theoretical XRD peak list (CuKα), based on DFT lattice parameters and positions (GGA-PBE).
Intensities are scaled so that the largest is 100.

Crystal structure
```
Rb7Fe4Te8
1.0
10.1012 -4.5059 0.0000
10.1012 4.5059 0.0000
-8.2838 0.0000 15.7796
Rb Fe Te
14 8 16
direct
0.0126 0.5013 0.8845
0.0227 0.4909 0.6358
0.2418 0.7506 0.5082
0.2446 0.7554 0.7500
0.2494 0.7582 0.9918
0.4909 0.0227 0.1358
0.4987 0.9874 0.6155
0.5013 0.0126 0.3845
0.5091 0.9773 0.8642
0.7506 0.2418 0.0082
0.7554 0.2446 0.2500
0.7582 0.2494 0.4918
0.9773 0.5091 0.3642
0.9874 0.4987 0.1155
0.1024 0.7962 0.2744
0.2038 0.8976 0.2256
0.3046 0.5927 0.1722
0.4073 0.6954 0.3278
0.5927 0.3046 0.6722
0.6954 0.4073 0.8278
0.7962 0.1024 0.7744
0.8976 0.2038 0.7256
0.0039 0.1703 0.8835
0.1200 0.1475 0.1852
0.1475 0.1200 0.6852
0.1703 0.0039 0.3835
0.3365 0.3912 0.5479
0.3387 0.4883 0.2924
0.3912 0.3365 0.0479
0.4883 0.3387 0.7924
0.5117 0.6613 0.2076
0.6088 0.6635 0.9521
0.6613 0.5117 0.7076
0.6635 0.6088 0.4521
0.8297 0.9961 0.6165
0.8525 0.8800 0.3148
0.8800 0.8525 0.8148
0.9961 0.8297 0.1165
```

The 10 most intense peaks (2θ = 15–90°), sorted by position:
2θ = 24.58°, 3.621 Å, I 6; 2θ = 27.89°, 3.199 Å, I 25; 2θ = 28.14°, 3.171 Å, I 100; 2θ = 28.66°, 3.114 Å, I 23; 2θ = 44.21°, 2.049 Å, I 9; 2θ = 49.46°, 1.843 Å, I 10; 2θ = 49.94°, 1.826 Å, I 7; 2θ = 50.51°, 1.807 Å, I 6; 2θ = 52.90°, 1.731 Å, I 8; 2θ = 58.13°, 1.587 Å, I 7

=====

(5)
SbNO: theoretical XRD peak list (CuKα), based on DFT lattice parameters and positions (GGA-PBE).
Intensities are scaled so that the largest is 100.

Crystal structure
```
SbNO
1.0
8.5388 -2.0970 0.0000
8.5388 2.0970 0.0000
-0.1305 0.0000 3.3411
Sb N O
2 2 2
direct
0.1718 0.1718 0.4824
0.8282 0.8282 0.5176
0.4676 0.4676 0.0164
0.5324 0.5324 0.9836
0.2914 0.2914 0.5417
0.7086 0.7086 0.4583
```

The 10 most intense peaks (2θ = 15–90°), sorted by position:
2θ = 26.40°, 3.376 Å, I 100; 2θ = 26.68°, 3.341 Å, I 51; 2θ = 28.30°, 3.153 Å, I 34; 2θ = 29.08°, 3.071 Å, I 18; 2θ = 31.45°, 2.844 Å, I 34; 2θ = 34.89°, 2.571 Å, I 18; 2θ = 37.43°, 2.403 Å, I 28; 2θ = 38.34°, 2.348 Å, I 23; 2θ = 43.14°, 2.097 Å, I 20; 2θ = 61.31°, 1.512 Å, I 19

=====

(6)
Ba3Ir3N5: theoretical XRD peak list (CuKα), based on DFT lattice parameters and positions (GGA-PBE).
Intensities are scaled so that the largest is 100.

Crystal structure
```
Ba3Ir3N5
1.0
7.1595 0.0000 0.0000
1.3993 7.9033 0.0000
3.5110 2.9595 7.8325
Ba Ir N
6 6 10
direct
0.9997 0.2007 0.2492
0.0003 0.7993 0.7508
0.2476 0.6492 0.3527
0.4023 0.9298 0.8624
0.5977 0.0702 0.1376
0.7524 0.3508 0.6473
0.1388 0.3308 0.8256
0.2892 0.1856 0.4679
0.3357 0.5108 0.9189
0.6643 0.4892 0.0811
0.7108 0.8144 0.5321
0.8612 0.6692 0.1744
0.1297 0.5715 0.0938
0.1441 0.1992 0.6867
0.2625 0.9867 0.4170
0.3729 0.2527 0.9072
0.4687 0.3532 0.2905
0.5313 0.6468 0.7095
0.6271 0.7473 0.0928
0.7375 0.0133 0.5830
0.8559 0.8008 0.3133
0.8703 0.4285 0.9062
```

The 10 most intense peaks (2θ = 15–90°), sorted by position:
2θ = 27.32°, 3.265 Å, I 29; 2θ = 28.60°, 3.122 Å, I 37; 2θ = 28.78°, 3.102 Å, I 63; 2θ = 29.54°, 3.024 Å, I 37; 2θ = 30.15°, 2.964 Å, I 100; 2θ = 30.36°, 2.944 Å, I 87; 2θ = 33.07°, 2.709 Å, I 31; 2θ = 35.53°, 2.526 Å, I 29; 2θ = 38.69°, 2.327 Å, I 45; 2θ = 38.95°, 2.312 Å, I 30

=====

(7)
SnPb2O4: theoretical XRD peak list (CuKα), based on DFT lattice parameters and positions (GGA-PBE).
Intensities are scaled so that the largest is 100.

Crystal structure
```
SnPb2O4
1.0
8.9204 0.0000 0.0000
0.0000 8.9204 0.0000
0.0000 0.0000 6.4824
Sn Pb O
4 8 16
direct
0.0000 0.5000 0.2500
0.0000 0.5000 0.7500
0.5000 0.0000 0.2500
0.5000 0.0000 0.7500
0.1435 0.1627 0.0000
0.1627 0.8565 0.5000
0.3373 0.3565 0.5000
0.3565 0.6627 0.0000
0.6435 0.3373 0.0000
0.6627 0.6435 0.5000
0.8373 0.1435 0.5000
0.8565 0.8373 0.0000
0.0955 0.6236 0.0000
0.1236 0.5955 0.5000
0.1650 0.3350 0.2500
0.1650 0.3350 0.7500
0.3350 0.8350 0.2500
0.3350 0.8350 0.7500
0.3764 0.0955 0.5000
0.4045 0.1236 0.0000
0.5955 0.8764 0.0000
0.6236 0.9045 0.5000
0.6650 0.1650 0.2500
0.6650 0.1650 0.7500
0.8350 0.6650 0.2500
0.8350 0.6650 0.7500
0.8764 0.4045 0.5000
0.9045 0.3764 0.0000
```

The 10 most intense peaks (2θ = 15–90°), sorted by position:
2θ = 26.23°, 3.398 Å, I 100; 2θ = 27.52°, 3.241 Å, I 9; 2θ = 31.02°, 2.883 Å, I 20; 2θ = 31.72°, 2.821 Å, I 32; 2θ = 34.20°, 2.622 Å, I 15; 2θ = 44.13°, 2.052 Å, I 12; 2θ = 47.88°, 1.900 Å, I 20; 2θ = 49.62°, 1.837 Å, I 18; 2θ = 51.83°, 1.764 Å, I 22; 2θ = 57.42°, 1.605 Å, I 15

=====

(8)
SmYO3: theoretical XRD peak list (CuKα), based on DFT lattice parameters and positions (GGA-PBE).
Intensities are scaled so that the largest is 100.

Crystal structure
```
SmYO3
1.0
6.0096 0.0000 0.0000
0.0000 5.8791 0.0000
0.0000 0.0000 8.5086
Sm Y O
4 4 12
direct
0.0339 0.0048 0.0000
0.4661 0.5048 0.5000
0.5339 0.4952 0.0000
0.9661 0.9952 0.5000
0.0213 0.5012 0.2678
0.4787 0.0012 0.7678
0.5213 0.9988 0.2678
0.9787 0.4988 0.7678
0.0855 0.3672 0.5272
0.1231 0.8490 0.7291
0.2379 0.7930 0.3687
0.2621 0.2930 0.8687
0.3769 0.3490 0.2291
0.4145 0.8672 0.0272
0.5855 0.1328 0.5272
0.6231 0.6510 0.7291
0.7379 0.7070 0.3687
0.7621 0.2070 0.8687
0.8769 0.1510 0.2291
0.9145 0.6328 0.0272
```

The 10 most intense peaks (2θ = 15–90°), sorted by position:
2θ = 29.73°, 3.005 Å, I 25; 2θ = 29.89°, 2.990 Å, I 100; 2θ = 30.41°, 2.940 Å, I 24; 2θ = 42.50°, 2.127 Å, I 12; 2θ = 43.05°, 2.101 Å, I 21; 2θ = 52.72°, 1.736 Å, I 12; 2θ = 52.86°, 1.732 Å, I 18; 2θ = 53.15°, 1.723 Å, I 12; 2θ = 53.71°, 1.707 Å, I 26; 2θ = 62.09°, 1.495 Å, I 11